This entry pairs a crystal structure of VAgO3 with its theoretical powder diffraction line list. Radiation: Cu Kα. Structure: a cell relaxed with GGA+U.
No peak broadening, texture or thermal motion is included.

Principal peaks in the range 2θ from 5° to 70°, sorted by position:
2θ/deg  I/Imax  (hkl)
16.94  40  2 0 0
23.91  33  2 2 0
26.05  69  2 2 -1
26.90  52  3 1 0
30.09  100  1 3 -1
32.04  37  2 2 1
32.88  29  1 3 1
33.35  47  0 0 2
36.52  46  3 3 -1
55.87  30  1 3 -3

Atomic structure:
```
data_VAgO3
_chemical_formula_sum 'V8 Ag8 O24'
_cell_length_a 10.9750
_cell_length_b 10.5881
_cell_length_c 5.6335
_cell_angle_alpha 90.00
_cell_angle_beta 107.47
_cell_angle_gamma 90.00
_symmetry_space_group_name_H-M 'C 1 2/c 1'
_symmetry_Int_Tables_number 15
_symmetry_space_group_name_Hall '-C 2yc'
loop_
_atom_site_label
_atom_site_fract_x
_atom_site_fract_y
_atom_site_fract_z
V1 0.1958 0.0828 0.2698
Ag1 0.0000 0.2412 0.7500
Ag2 0.0000 0.4060 0.2500
O1 0.1288 0.2204 0.1432
O2 0.1415 0.4083 0.6458
O3 0.1477 0.0440 0.5433
```

***

This entry pairs a crystal structure of Ag2WO4 with its theoretical powder diffraction line list. Radiation: Cu Kα. Structure: a cell relaxed with GGA+U.
No peak broadening, texture or thermal motion is included.

Principal peaks in the range 2θ from 5° to 70°, sorted by position:
2θ/deg  I/Imax  (hkl)
16.39  9  1 0 1
29.87  24  2 0 0
30.67  100  1 2 3
32.70  20  0 4 0
44.87  23  2 4 0
53.20  10  2 0 6
53.53  20  3 2 3
55.04  9  0 4 6
57.10  17  1 6 3
63.87  9  2 4 6

Atomic structure:
```
data_Ag2WO4
_chemical_formula_sum 'Ag16 W8 O32'
_cell_length_a 5.9830
_cell_length_b 10.9557
_cell_length_c 12.6281
_cell_angle_alpha 90.00
_cell_angle_beta 90.00
_cell_angle_gamma 90.00
_symmetry_space_group_name_H-M 'P n n m'
_symmetry_Int_Tables_number 58
_symmetry_space_group_name_Hall '-P 2 2n'
loop_
_atom_site_label
_atom_site_fract_x
_atom_site_fract_y
_atom_site_fract_z
Ag1 0.0000 0.0000 0.0000
Ag2 0.0000 0.0000 0.3127
Ag3 0.0000 0.5000 0.0000
Ag4 0.0146 0.2420 0.1739
W1 0.0000 0.5000 0.3591
W2 0.0262 0.2446 0.5000
O1 0.1401 0.8167 0.3891
O2 0.1506 0.5873 0.5000
O3 0.1877 0.5803 0.2689
O4 0.1965 0.3634 0.3916
O5 0.2259 0.6461 0.0000
```

***

This entry pairs a crystal structure of Ag2W2O7 with its theoretical powder diffraction line list. Radiation: Cu Kα. Structure: a cell relaxed with GGA+U.
No peak broadening, texture or thermal motion is included.

Principal peaks in the range 2θ from 5° to 70°, sorted by position:
2θ/deg  I/Imax  (hkl)
13.12  32  0 1 0
26.41  100  0 2 0
26.62  55  1 1 2
28.37  33  1 0 2
29.21  49  -1 1 2
29.54  94  2 0 0
31.14  39  1 2 2
32.39  55  1 1 -2
35.15  32  2 2 0
35.54  32  1 -1 2

Atomic structure:
```
data_Ag2W2O7
_chemical_formula_sum 'Ag4 W4 O14'
_cell_length_a 6.2108
_cell_length_b 7.2368
_cell_length_c 7.8089
_cell_angle_alpha 73.10
_cell_angle_beta 87.44
_cell_angle_gamma 76.94
_symmetry_space_group_name_H-M 'P -1'
_symmetry_Int_Tables_number 2
_symmetry_space_group_name_Hall '-P 1'
loop_
_atom_site_label
_atom_site_fract_x
_atom_site_fract_y
_atom_site_fract_z
Ag1 0.2005 0.2303 0.2373
Ag2 0.2637 0.7944 0.5597
W1 0.2251 0.2266 0.7244
W2 0.2258 0.7982 0.0586
O1 0.0825 0.7979 0.2982
O2 0.1058 0.1421 0.9973
O3 0.1635 0.4876 0.6930
O4 0.2802 0.5427 0.0832
O5 0.2899 0.8989 0.8149
O6 0.3242 0.2034 0.5075
O7 0.4861 0.8243 0.1591
```